No. 1
Diffraction record for TcPbSe. The PXRD pattern is computed, not measured: it uses DFT lattice parameters and positions (PBE) and Cu Kα, 1.54184 Å.

The 10 most intense peaks (2θ = 10–80°), sorted by position:
13.24°, 6.687 Å, intensity 29; 26.66°, 3.344 Å, intensity 27; 29.06°, 3.073 Å, intensity 34; 34.82°, 2.577 Å, intensity 100; 40.41°, 2.232 Å, intensity 55; 44.39°, 2.041 Å, intensity 24; 49.06°, 1.857 Å, intensity 21; 56.28°, 1.635 Å, intensity 13; 58.48°, 1.578 Å, intensity 27; 69.90°, 1.346 Å, intensity 37

Atomic structure:
a b c (Å): 3.1574 3.1574 13.3744
angles (deg): 90.00 90.00 90.00
Sites, in units of the cell vectors:
Tc 0.0000 0.0000 0.0000
Tc 0.5000 0.5000 0.5000
Pb 0.0000 0.0000 0.6646
Pb 0.5000 0.5000 0.1646
Se 0.0000 0.0000 0.4094
Se 0.5000 0.5000 0.9094


No. 2
Diffraction record for Mg3Cd4Hg. The PXRD pattern is computed, not measured: it uses DFT lattice parameters and positions (PBE) and Cu Kα, 1.54184 Å.

The 10 most intense peaks (2θ = 10–80°), sorted by position:
21.54°, 4.126 Å, intensity 100; 22.32°, 3.982 Å, intensity 59; 27.84°, 3.205 Å, intensity 60; 28.11°, 3.175 Å, intensity 53; 29.04°, 3.074 Å, intensity 59; 31.24°, 2.863 Å, intensity 57; 32.54°, 2.752 Å, intensity 79; 34.64°, 2.590 Å, intensity 57; 38.63°, 2.331 Å, intensity 93; 44.26°, 2.046 Å, intensity 64

Atomic structure:
a b c (Å): 3.2192 4.6652 12.4851
angles (deg): 98.39 95.28 90.17
Sites, in units of the cell vectors:
Mg 0.0000 0.0000 0.0000
Mg 0.1236 0.6731 0.3004
Mg 0.8764 0.3269 0.6996
Cd 0.2777 0.7724 0.5545
Cd 0.4147 0.8638 0.7934
Cd 0.5853 0.1362 0.2066
Cd 0.7223 0.2276 0.4455
Hg 0.5000 0.5000 0.0000


No. 3
Diffraction record for LaScBiTe. The PXRD pattern is computed, not measured: it uses DFT lattice parameters and positions (PBE) and Cu Kα, 1.54184 Å.

The 10 most intense peaks (2θ = 10–80°), sorted by position:
22.02°, 4.037 Å, intensity 72; 26.79°, 3.327 Å, intensity 15; 28.72°, 3.109 Å, intensity 17; 31.80°, 2.814 Å, intensity 21; 32.92°, 2.721 Å, intensity 60; 33.78°, 2.654 Å, intensity 100; 47.07°, 1.930 Å, intensity 42; 47.88°, 1.900 Å, intensity 21; 59.88°, 1.545 Å, intensity 21; 60.43°, 1.532 Å, intensity 27

Atomic structure:
a b c (Å): 11.6642 11.6642 11.6642
angles (deg): 26.30 26.30 26.30
Sites, in units of the cell vectors:
La 0.1083 0.1083 0.1083
La 0.8917 0.8917 0.8917
Sc 0.2950 0.2950 0.2950
Sc 0.7050 0.7050 0.7050
Bi 0.3832 0.3832 0.3832
Bi 0.6168 0.6168 0.6168
Te 0.2047 0.2047 0.2047
Te 0.7953 0.7953 0.7953


No. 4
Diffraction record for Ca2Zn9Au6. The PXRD pattern is computed, not measured: it uses DFT lattice parameters and positions (PBE) and Cu Kα, 1.54184 Å.

The 10 most intense peaks (2θ = 10–80°), sorted by position:
18.91°, 4.692 Å, intensity 71; 20.13°, 4.411 Å, intensity 16; 33.07°, 2.709 Å, intensity 40; 39.02°, 2.308 Å, intensity 100; 40.92°, 2.205 Å, intensity 24; 43.70°, 2.071 Å, intensity 44; 45.44°, 1.996 Å, intensity 15; 53.58°, 1.710 Å, intensity 21; 63.06°, 1.474 Å, intensity 24; 73.25°, 1.292 Å, intensity 16

Atomic structure:
a b c (Å): 5.4184 5.4184 13.2317
angles (deg): 90.00 90.00 120.00
Sites, in units of the cell vectors:
Ca 0.0000 0.0000 0.1669
Ca 0.0000 0.0000 0.8331
Zn 0.0000 0.5000 0.0000
Zn 0.0000 0.5000 0.3385
Zn 0.0000 0.5000 0.6615
Zn 0.5000 0.0000 0.0000
Zn 0.5000 0.0000 0.3385
Zn 0.5000 0.0000 0.6615
Zn 0.5000 0.5000 0.0000
Zn 0.5000 0.5000 0.3385
Zn 0.5000 0.5000 0.6615
Au 0.3333 0.6667 0.1698
Au 0.3333 0.6667 0.5000
Au 0.3333 0.6667 0.8302
Au 0.6667 0.3333 0.1698
Au 0.6667 0.3333 0.5000
Au 0.6667 0.3333 0.8302